For LaTb2O4, the GGA-PBE geometry in Alexandria gives the simulated PXRD pattern in this record (Cu Kα X-rays).

Crystal structure
a b c (Å): 12.9673 3.4807 5.9135
angles (deg): 90.00 117.05 90.00
Space group C2/m (No. 12)
One atom of each set of equivalent atoms:
La 0.0000 0.0000 0.0000 (multiplicity 2)
Tb 0.2120 0.5000 0.7100 (multiplicity 4)
O 0.1442 0.0000 0.4390 (multiplicity 4)
O 0.1562 0.5000 0.0208 (multiplicity 4)

The 12 most intense peaks (10 to 90 degrees two-theta), by intensity:
| 2theta | intensity | (hkl) |
| --- | --- | --- |
| 29.78 | 100 | 1 1 -1 |
| 27.65 | 75 | 4 0 -1 |
| 30.23 | 48 | 2 0 -2 |
| 43.50 | 47 | 3 1 1 |
| 34.75 | 45 | 3 1 0 |
| 46.71 | 44 | 1 1 2 |
| 15.34 | 38 | 2 0 0 |
| 70.79 | 29 | 9 1 -2 |
| 53.42 | 27 | 3 1 -3 |
| 43.83 | 24 | 6 0 -2 |
| 62.28 | 20 | 7 1 0 |
| 58.04 | 18 | 6 0 1 |

***

For La3TcO7, the GGA-PBE geometry in Alexandria gives the simulated PXRD pattern in this record (Cu Kα X-rays).

Crystal structure
a b c (Å): 7.8185 11.0447 7.7769
angles (deg): 90.00 90.00 90.00
Space group C222_1 (No. 20)
One atom of each set of equivalent atoms:
La 0.0230 0.0000 0.0000 (multiplicity 4)
La 0.2339 0.2674 0.7553 (multiplicity 8)
Tc 0.9997 0.5000 0.0000 (multiplicity 4)
O 0.0000 0.1289 0.2500 (multiplicity 4)
O 0.0000 0.1350 0.7500 (multiplicity 4)
O 0.0000 0.4462 0.7500 (multiplicity 4)
O 0.1773 0.3777 0.0325 (multiplicity 8)
O 0.1960 0.3803 0.4774 (multiplicity 8)

The 12 most intense peaks (10 to 90 degrees two-theta), by intensity:
| 2theta | intensity | (hkl) |
| --- | --- | --- |
| 27.96 | 100 | 2 2 0 |
| 28.07 | 97 | 0 2 2 |
| 46.53 | 70 | 2 4 2 |
| 32.46 | 64 | 2 0 2 |
| 55.17 | 48 | 4 2 2 |
| 55.33 | 29 | 2 2 4 |
| 46.72 | 17 | 0 0 4 |
| 74.93 | 12 | 6 2 0 |
| 75.11 | 9 | 2 6 4 |
| 77.26 | 9 | 6 0 2 |
| 57.79 | 9 | 4 4 0 |
| 58.02 | 9 | 0 4 4 |